Entry 1:
Computed XRD peak list of Li4Cr3CoO8 for Cu Ka, from a DFT-relaxed cell (PBE+U, the Materials Project).
Lines closer than 0.1° are merged.

Atomic structure:
```
data_Li4Cr3CoO8
_chemical_formula_sum 'Li8 Cr6 Co2 O16'
_cell_length_a 5.1302
_cell_length_b 5.9369
_cell_length_c 9.8348
_cell_angle_alpha 89.42
_cell_angle_beta 79.35
_cell_angle_gamma 89.70
_symmetry_space_group_name_H-M 'P -1'
_symmetry_Int_Tables_number 2
loop_
_symmetry_equiv_pos_as_xyz
'x,y,z'
'-x,-y,-z'
loop_
_atom_site_label
_atom_site_fract_x
_atom_site_fract_y
_atom_site_fract_z
Li1 0.0001 0.2501 0.0007
Li2 0.2431 0.0041 0.7504
Li3 0.2562 0.4958 0.7521
Li4 0.4962 0.2497 0.5020
Cr1 0.0000 0.5000 0.5000
Cr2 0.2462 0.7482 0.2510
Cr3 0.2504 0.2470 0.2512
Cr4 0.5000 0.0000 0.0000
Co1 0.0000 0.0000 0.5000
Co2 0.5000 0.5000 0.0000
O1 0.1033 0.7584 0.6156
O2 0.1113 0.2623 0.6259
O3 0.1443 0.0009 0.1307
O4 0.1512 0.4996 0.1269
O5 0.3429 0.9964 0.3749
O6 0.3544 0.4961 0.3697
O7 0.3921 0.7561 0.8769
O8 0.3945 0.2491 0.8781
```

Largest 12 diffraction maxima, by intensity, 10 to 90 degrees two-theta:
(1 0 1), 2θ = 18.28°, I 100
(1 2 3), 2θ = 42.80°, I 27
(1 -2 3), 2θ = 43.28°, I 26
(2 0 -2), 2θ = 43.45°, I 26
(0 2 2), 2θ = 35.34°, I 14
(0 4 0), 2θ = 62.57°, I 14
(0 2 -2), 2θ = 35.64°, I 13
(1 0 -3), 2θ = 35.74°, I 13
(-1 2 1), 2θ = 37.20°, I 12
(-1 2 5), 2θ = 62.71°, I 7
(1 2 -5), 2θ = 63.14°, I 7
(2 0 6), 2θ = 62.42°, I 7



Entry 2:
Computed XRD peak list of Li4Cr3CoO8 for Cu Ka, from a DFT-relaxed cell (PBE+U, the Materials Project).
Lines closer than 0.1° are merged.

Atomic structure:
```
data_Li4Cr3CoO8
_chemical_formula_sum 'Li8 Cr6 Co2 O16'
_cell_length_a 5.1041
_cell_length_b 7.7394
_cell_length_c 7.7583
_cell_angle_alpha 81.86
_cell_angle_beta 83.81
_cell_angle_gamma 71.01
_symmetry_space_group_name_H-M 'P -1'
_symmetry_Int_Tables_number 2
loop_
_symmetry_equiv_pos_as_xyz
'x,y,z'
'-x,-y,-z'
loop_
_atom_site_label
_atom_site_fract_x
_atom_site_fract_y
_atom_site_fract_z
Li1 0.0000 0.0000 0.0000
Li2 0.0000 0.5000 0.5000
Li3 0.0021 0.2490 0.2510
Li4 0.0018 0.3750 0.8741
Li5 0.0016 0.8756 0.3707
Cr1 0.5000 0.1853 0.4382
Cr2 0.5000 0.3084 0.0621
Cr3 0.4996 0.4355 0.6886
Co1 0.5001 0.0618 0.8140
O1 0.2729 0.4010 0.2803
O2 0.2725 0.5271 0.9061
O3 0.2726 0.6518 0.5305
O4 0.2758 0.0249 0.3998
O5 0.2760 0.2709 0.6593
O6 0.2770 0.7810 0.1554
O7 0.2772 0.9058 0.7804
O8 0.2814 0.1432 0.0286
```

Largest 12 diffraction maxima, by intensity, 10 to 90 degrees two-theta:
(1 0 0), 2θ = 18.42°, I 100
(2 3 1), 2θ = 43.60°, I 78
(0 2 -2), 2θ = 35.92°, I 27
(1 4 4), 2θ = 63.57°, I 14
(-2 1 3), 2θ = 57.57°, I 14
(3 1 3), 2θ = 63.22°, I 14
(1 3 1), 2θ = 35.99°, I 13
(2 1 3), 2θ = 47.71°, I 12
(0 3 1), 2θ = 37.58°, I 12
(0 4 4), 2θ = 66.81°, I 9
(0 1 -5), 2θ = 63.43°, I 7
(3 2 -2), 2θ = 63.17°, I 7



Entry 3:
Computed XRD peak list of Li4Cr3CoO8 for Cu Ka, from a DFT-relaxed cell (PBE+U, the Materials Project).
Lines closer than 0.1° are merged.

Atomic structure:
```
data_Li4Cr3CoO8
_chemical_formula_sum 'Li8 Cr6 Co2 O16'
_cell_length_a 5.1092
_cell_length_b 5.8610
_cell_length_c 10.5642
_cell_angle_alpha 73.91
_cell_angle_beta 76.20
_cell_angle_gamma 73.35
_symmetry_space_group_name_H-M 'P -1'
_symmetry_Int_Tables_number 2
loop_
_symmetry_equiv_pos_as_xyz
'x,y,z'
'-x,-y,-z'
loop_
_atom_site_label
_atom_site_fract_x
_atom_site_fract_y
_atom_site_fract_z
Li1 0.0000 0.1907 0.3728
Li2 0.0022 0.4413 0.8712
Li3 0.0062 0.9334 0.8750
Li4 0.0081 0.6839 0.3735
Cr1 0.5000 0.0000 0.5000
Cr2 0.5002 0.1247 0.7502
Cr3 0.5003 0.2521 0.9998
Cr4 0.5000 0.5000 0.5000
Co1 0.5001 0.3749 0.2502
O1 0.2731 0.0887 0.9363
O2 0.2730 0.8388 0.4353
O3 0.2765 0.7071 0.1870
O4 0.2765 0.3397 0.4324
O5 0.2766 0.5898 0.9316
O6 0.2767 0.9581 0.6870
O7 0.2779 0.2176 0.1864
O8 0.2776 0.4664 0.6867
```

Largest 12 diffraction maxima, by intensity, 10 to 90 degrees two-theta:
(1 0 0), 2θ = 18.40°, I 100
(2 2 3), 2θ = 43.57°, I 78
(1 2 3), 2θ = 35.93°, I 40
(3 0 4), 2θ = 63.14°, I 20
(1 4 2), 2θ = 63.50°, I 14
(2 0 -4), 2θ = 57.52°, I 14
(0 4 2), 2θ = 66.72°, I 14
(2 0 4), 2θ = 47.67°, I 12
(1 0 4), 2θ = 37.56°, I 12
(2 0 8), 2θ = 80.16°, I 9
(0 2 -5), 2θ = 63.49°, I 7
(4 0 4), 2θ = 82.65°, I 5



Entry 4:
Computed XRD peak list of Li4Cr3CoO8 for Cu Ka, from a DFT-relaxed cell (PBE+U, the Materials Project).
Lines closer than 0.1° are merged.

Atomic structure:
```
data_Li4Cr3CoO8
_chemical_formula_sum 'Li8 Cr6 Co2 O16'
_cell_length_a 5.0961
_cell_length_b 5.9011
_cell_length_c 9.8440
_cell_angle_alpha 89.71
_cell_angle_beta 79.92
_cell_angle_gamma 89.67
_symmetry_space_group_name_H-M 'P -1'
_symmetry_Int_Tables_number 2
loop_
_symmetry_equiv_pos_as_xyz
'x,y,z'
'-x,-y,-z'
loop_
_atom_site_label
_atom_site_fract_x
_atom_site_fract_y
_atom_site_fract_z
Li1 0.2376 0.0054 0.2474
Li2 0.2467 0.2483 0.7515
Li3 0.2522 0.7531 0.7511
Li4 0.2613 0.4967 0.2520
Cr1 0.0000 0.5000 0.0000
Cr2 0.0017 0.2513 0.4986
Cr3 0.5000 0.0000 0.5000
Cr4 0.5001 0.2474 0.0000
Co1 0.0000 0.0000 0.0000
Co2 0.5000 0.5000 0.5000
O1 0.1245 0.2430 0.1107
O2 0.1255 0.7551 0.1114
O3 0.1284 0.9996 0.6126
O4 0.1351 0.4963 0.6111
O5 0.3621 0.0016 0.8892
O6 0.3651 0.2397 0.3812
O7 0.3730 0.5011 0.8871
O8 0.3773 0.7418 0.3906
```

Largest 12 diffraction maxima, by intensity, 10 to 90 degrees two-theta:
(0 0 2), 2θ = 18.31°, I 100
(2 0 -2), 2θ = 43.43°, I 52
(1 2 3), 2θ = 43.13°, I 27
(3 2 1), 2θ = 63.00°, I 14
(1 2 1), 2θ = 35.58°, I 14
(-1 2 5), 2θ = 62.73°, I 14
(2 0 0), 2θ = 35.79°, I 13
(1 -2 1), 2θ = 35.81°, I 13
(-1 2 3), 2θ = 47.40°, I 13
(1 2 -1), 2θ = 37.35°, I 12
(1 -2 5), 2θ = 57.30°, I 9
(3 -2 1), 2θ = 63.33°, I 7



Entry 5:
Computed XRD peak list of Li2CrCo3O8 for Cu Ka, from a DFT-relaxed cell (PBE+U, the Materials Project).
Lines closer than 0.1° are merged.

Atomic structure:
```
data_Li2CrCo3O8
_chemical_formula_sum 'Li4 Cr2 Co6 O16'
_cell_length_a 5.8385
_cell_length_b 5.8511
_cell_length_c 10.1598
_cell_angle_alpha 89.44
_cell_angle_beta 73.31
_cell_angle_gamma 60.19
_symmetry_space_group_name_H-M 'P -1'
_symmetry_Int_Tables_number 2
loop_
_symmetry_equiv_pos_as_xyz
'x,y,z'
'-x,-y,-z'
loop_
_atom_site_label
_atom_site_fract_x
_atom_site_fract_y
_atom_site_fract_z
Li1 0.1310 0.4350 0.3170
Li2 0.1318 0.9266 0.8168
Cr1 0.4961 0.7582 0.2513
Co1 0.0000 0.0000 0.5000
Co2 0.0000 0.5000 0.0000
Co3 0.5000 0.0000 0.0000
Co4 0.5000 0.0000 0.5000
Co5 0.5000 0.5000 0.0000
Co6 0.5000 0.5000 0.5000
O1 0.2682 0.5868 0.8824
O2 0.2691 0.1323 0.8874
O3 0.2714 0.0970 0.3877
O4 0.2710 0.6355 0.3853
O5 0.2735 0.8432 0.6088
O6 0.2798 0.3559 0.1046
O7 0.2848 0.8737 0.1160
O8 0.2928 0.3517 0.6121
```

Largest 12 diffraction maxima, by intensity, 10 to 90 degrees two-theta:
(0 0 2), 2θ = 18.51°, I 100
(2 2 -2), 2θ = 43.86°, I 44
(0 1 -1), 2θ = 18.61°, I 24
(2 0 2), 2θ = 36.00°, I 23
(0 2 2), 2θ = 43.32°, I 23
(2 2 0), 2θ = 36.12°, I 16
(2 2 6), 2θ = 63.15°, I 13
(0 2 -6), 2θ = 63.77°, I 13
(1 2 2), 2θ = 35.72°, I 9
(2 2 -4), 2θ = 57.99°, I 9
(2 0 0), 2θ = 37.59°, I 8
(2 4 0), 2θ = 63.61°, I 7



Entry 6:
Computed XRD peak list of Li4Cr3CoO8 for Cu Ka, from a DFT-relaxed cell (PBE+U, the Materials Project).
Lines closer than 0.1° are merged.

Atomic structure:
```
data_Li4Cr3CoO8
_chemical_formula_sum 'Li8 Cr6 Co2 O16'
_cell_length_a 5.9090
_cell_length_b 6.6287
_cell_length_c 8.8852
_cell_angle_alpha 81.71
_cell_angle_beta 70.60
_cell_angle_gamma 63.54
_symmetry_space_group_name_H-M 'P -1'
_symmetry_Int_Tables_number 2
loop_
_symmetry_equiv_pos_as_xyz
'x,y,z'
'-x,-y,-z'
loop_
_atom_site_label
_atom_site_fract_x
_atom_site_fract_y
_atom_site_fract_z
Li1 0.2362 0.0090 0.0008
Li2 0.2457 0.2509 0.2486
Li3 0.2468 0.7504 0.7511
Li4 0.2522 0.5032 0.4991
Cr1 0.0023 0.7508 0.2491
Cr2 0.4977 0.2509 0.7500
Cr3 0.5000 0.0000 0.5000
Cr4 0.5000 0.5000 0.0000
Co1 0.0000 0.0000 0.5000
Co2 0.0000 0.5000 0.0000
O1 0.1255 0.4834 0.7578
O2 0.1269 0.2307 0.5077
O3 0.1316 0.7389 0.0093
O4 0.1345 0.9839 0.2539
O5 0.3568 0.2752 0.9924
O6 0.3698 0.0163 0.7418
O7 0.3722 0.5164 0.2417
O8 0.3767 0.7630 0.4905
```

Largest 12 diffraction maxima, by intensity, 10 to 90 degrees two-theta:
(0 1 -1), 2θ = 18.28°, I 100
(2 3 1), 2θ = 43.20°, I 80
(0 1 3), 2θ = 35.60°, I 41
(2 3 5), 2θ = 62.87°, I 22
(2 3 -3), 2θ = 62.62°, I 21
(2 -2 2), 2θ = 57.05°, I 14
(-2 2 2), 2θ = 66.07°, I 14
(2 1 3), 2θ = 37.23°, I 12
(4 2 -2), 2θ = 79.34°, I 10
(2 2 -2), 2θ = 47.28°, I 9
(0 5 -1), 2θ = 81.94°, I 5
(-2 3 1), 2θ = 75.28°, I 5



Entry 7:
Computed XRD peak list of Li4Cr3CoO8 for Cu Ka, from a DFT-relaxed cell (PBE+U, the Materials Project).
Lines closer than 0.1° are merged.

Atomic structure:
```
data_Li4Cr3CoO8
_chemical_formula_sum 'Li8 Cr6 Co2 O16'
_cell_length_a 5.0691
_cell_length_b 5.9354
_cell_length_c 9.8854
_cell_angle_alpha 90.00
_cell_angle_beta 100.23
_cell_angle_gamma 90.00
_symmetry_space_group_name_H-M 'P 1 2/m 1'
_symmetry_Int_Tables_number 10
loop_
_symmetry_equiv_pos_as_xyz
'x,y,z'
'-x,-y,-z'
'-x,y,-z'
'x,-y,z'
loop_
_atom_site_label
_atom_site_fract_x
_atom_site_fract_y
_atom_site_fract_z
Li1 0.2385 0.0000 0.2505
Li2 0.2495 0.2503 0.7503
Li3 0.2595 0.5000 0.2492
Cr1 0.0000 0.2489 0.0000
Cr2 0.0000 0.5000 0.5000
Cr3 0.5000 0.0000 0.0000
Cr4 0.5000 0.2506 0.5000
Co1 0.0000 0.0000 0.5000
Co2 0.5000 0.5000 0.0000
O1 0.1269 0.0000 0.8863
O2 0.1273 0.2518 0.3845
O3 0.1409 0.5000 0.8917
O4 0.3591 0.0000 0.6078
O5 0.3721 0.2478 0.1144
O6 0.3738 0.5000 0.6134
```

Largest 12 diffraction maxima, by intensity, 10 to 90 degrees two-theta:
(0 0 2), 2θ = 18.24°, I 100
(1 2 -3), 2θ = 43.09°, I 54
(0 4 0), 2θ = 62.60°, I 28
(1 2 -1), 2θ = 35.57°, I 28
(2 0 2), 2θ = 43.62°, I 26
(3 2 -1), 2θ = 63.34°, I 14
(2 0 -4), 2θ = 47.32°, I 13
(2 0 0), 2θ = 36.01°, I 13
(1 2 -5), 2θ = 56.84°, I 11
(1 2 1), 2θ = 37.25°, I 8
(2 4 2), 2θ = 79.39°, I 6
(0 4 2), 2θ = 65.80°, I 5